DyAgSb2: computed X-ray diffraction stick pattern (a wavelength of 1.5418 Å), based on DFT lattice parameters and positions (GGA-PBE).
Lines closer than 0.1° are merged.

Most intense lines, 2θ from 10° to 80°, low angle first:
| index | 2θ/deg | d_spacing | Rel. int. |
| --- | --- | --- | --- |
| 1 0 2 | 26.64 | 3.346 | 11 |
| 1 0 3 | 32.81 | 2.730 | 6 |
| 1 1 2 | 33.86 | 2.647 | 100 |
| 0 0 4 | 33.98 | 2.638 | 16 |
| 1 0 4 | 40.03 | 2.253 | 9 |
| 2 0 0 | 41.74 | 2.164 | 33 |
| 1 0 5 | 47.96 | 1.897 | 7 |
| 2 0 4 | 54.88 | 1.673 | 15 |
| 2 2 0 | 60.51 | 1.530 | 11 |
| 3 1 2 | 71.19 | 1.324 | 29 |

Structure:
```
data_DyAgSb2
_cell_length_a 4.3278
_cell_length_b 4.3278
_cell_length_c 10.5521
_cell_angle_alpha 90.00
_cell_angle_beta 90.00
_cell_angle_gamma 90.00
_space_group_name_H-M_alt 'P 4/n m m'
_space_group_IT_number 129
loop_
_space_group_symop_operation_xyz
'x,y,z'
'-x,-y,-z'
'-y+1/2,x,z'
'y+1/2,-x,-z'
'-x+1/2,-y+1/2,z'
'x+1/2,y+1/2,-z'
'y,-x+1/2,z'
'-y,x+1/2,-z'
'x+1/2,-y,-z'
'-x+1/2,y,z'
'-y,-x,-z'
'y,x,z'
'-x,y+1/2,-z'
'x,-y+1/2,z'
'y+1/2,x+1/2,-z'
'-y+1/2,-x+1/2,z'
loop_
_atom_site_label
_atom_site_type_symbol
_atom_site_fract_x
_atom_site_fract_y
_atom_site_fract_z
Dy1 Dy 0.2500 0.2500 0.2360
Ag1 Ag 0.2500 0.7500 0.5000
Sb1 Sb 0.2500 0.2500 0.6846
Sb2 Sb 0.2500 0.7500 0.0000
```